Record 1
Diffraction record for Na2CaC2O3. The powder diffraction line list is theoretical, not measured: it uses the PBE geometry in the Materials Project and Cu Kα, 1.54184 Å.
Neutral-atom scattering factors, no anomalous dispersion.

Top 10 peaks for 10 to 90 degrees two-theta, by intensity:
- 5.219 Å, 16.99 deg, rel. 100, (0 0 2)
- 2.729 Å, 32.81 deg, rel. 85, (1 1 3)
- 2.533 Å, 35.44 deg, rel. 57, (1 3 0)
- 2.031 Å, 44.62 deg, rel. 52, (2 2 2)
- 2.609 Å, 34.37 deg, rel. 35, (0 0 4)
- 2.552 Å, 35.17 deg, rel. 32, (2 0 0)
- 1.684 Å, 54.49 deg, rel. 31, (2 2 4)
- 1.852 Å, 49.18 deg, rel. 21, (0 4 3)
- 2.244 Å, 40.19 deg, rel. 19, (0 2 4)
- 1.740 Å, 52.61 deg, rel. 17, (0 0 6)

```
data_Na2CaC2O3
_cell_length_a 5.1030
_cell_length_b 8.7537
_cell_length_c 10.4379
_cell_angle_alpha 90.00
_cell_angle_beta 90.00
_cell_angle_gamma 90.00
_space_group_name_H-M_alt 'C m c m'
_space_group_IT_number 63
_space_group_name_Hall '-C 2c 2'
loop_
_atom_site_label
_atom_site_type_symbol
_atom_site_fract_x
_atom_site_fract_y
_atom_site_fract_z
Na1 Na 0.0000 0.1805 0.0740
Ca1 Ca 0.0000 0.4806 0.7500
C1 C 0.0000 0.1467 0.7500
C2 C 0.0000 0.5000 0.0000
O1 O 0.0000 0.0017 0.2500
O2 O 0.2197 0.2200 0.7500
```

Record 2
Diffraction record for Na3CaPCO7. The powder diffraction line list is theoretical, not measured: it uses the PBE geometry in the Materials Project and Cu Kα, 1.54184 Å.
Neutral-atom scattering factors, no anomalous dispersion.

Top 10 peaks for 10 to 90 degrees two-theta, by intensity:
- 2.759 Å, 32.45 deg, rel. 100, (1 2 1)
- 2.666 Å, 33.62 deg, rel. 62, (1 0 -3)
- 3.443 Å, 25.88 deg, rel. 48, (0 2 0)
- 2.181 Å, 41.40 deg, rel. 34, (0 1 4)
- 1.912 Å, 47.55 deg, rel. 30, (2 2 2)
- 1.920 Å, 47.34 deg, rel. 27, (2 2 -2)
- 5.333 Å, 16.62 deg, rel. 26, (1 0 0)
- 2.650 Å, 33.83 deg, rel. 26, (1 0 3)
- 1.722 Å, 53.21 deg, rel. 16, (0 4 0)
- 2.227 Å, 40.50 deg, rel. 15, (0 3 1)

```
data_Na3CaPCO7
_cell_length_a 5.3329
_cell_length_b 6.8865
_cell_length_c 9.1961
_cell_angle_alpha 90.00
_cell_angle_beta 90.40
_cell_angle_gamma 90.00
_space_group_name_H-M_alt 'P 1 21 1'
_space_group_IT_number 4
_space_group_name_Hall 'P 2yb'
loop_
_atom_site_label
_atom_site_type_symbol
_atom_site_fract_x
_atom_site_fract_y
_atom_site_fract_z
Na1 Na 0.0040 0.0000 0.3295
Na2 Na 0.0322 0.2749 0.0193
Na3 Na 0.4876 0.2838 0.4842
Ca1 Ca 0.4750 0.5635 0.1909
P1 P 0.4969 0.0366 0.1633
C1 C 0.0144 0.0474 0.6473
O1 O 0.0343 0.0477 0.7884
O2 O 0.2061 0.5691 0.4135
O3 O 0.2125 0.0273 0.5669
O4 O 0.2541 0.9640 0.0881
O5 O 0.2938 0.5556 0.9526
O6 O 0.4167 0.3863 0.7201
O7 O 0.4388 0.2351 0.2365
```

Record 3
Diffraction record for Na3CaPCO7. The powder diffraction line list is theoretical, not measured: it uses the PBE geometry in the Materials Project and Cu Kα, 1.54184 Å.
Neutral-atom scattering factors, no anomalous dispersion.

Top 10 peaks for 10 to 90 degrees two-theta, by intensity:
- 2.806 Å, 31.89 deg, rel. 100, (0 2 2)
- 2.641 Å, 33.94 deg, rel. 93, (2 0 0)
- 3.544 Å, 25.13 deg, rel. 88, (0 2 0)
- 1.927 Å, 47.16 deg, rel. 70, (0 2 4)
- 2.801 Å, 31.95 deg, rel. 48, (1 2 1)
- 1.772 Å, 51.57 deg, rel. 32, (0 4 0)
- 3.463 Å, 25.72 deg, rel. 24, (1 0 2)
- 3.850 Å, 23.10 deg, rel. 20, (1 1 -1)
- 1.642 Å, 55.99 deg, rel. 20, (2 3 2)
- 2.175 Å, 41.52 deg, rel. 20, (2 1 2)

```
data_Na3CaPCO7
_cell_length_a 5.2794
_cell_length_b 7.0886
_cell_length_c 9.1907
_cell_angle_alpha 90.00
_cell_angle_beta 90.20
_cell_angle_gamma 90.00
_space_group_name_H-M_alt 'P 1 21/m 1'
_space_group_IT_number 11
_space_group_name_Hall '-P 2yb'
loop_
_atom_site_label
_atom_site_type_symbol
_atom_site_fract_x
_atom_site_fract_y
_atom_site_fract_z
Na1 Na 0.2401 0.2500 0.4164
Na2 Na 0.2482 0.5067 0.7586
Ca1 Ca 0.2278 0.7500 0.1388
P1 P 0.3001 0.2500 0.0932
C1 C 0.2647 0.7500 0.4434
O1 O 0.0413 0.7500 0.3816
O2 O 0.1981 0.2500 0.9335
O3 O 0.2106 0.0733 0.1799
O4 O 0.2856 0.7500 0.5837
O5 O 0.4050 0.7500 0.9135
O6 O 0.4679 0.7500 0.3622
```

Record 4
Diffraction record for Na2CaPb3C5O15. The powder diffraction line list is theoretical, not measured: it uses the PBE geometry in the Materials Project and Cu Kα, 1.54184 Å.
Neutral-atom scattering factors, no anomalous dispersion.

Top 10 peaks for 10 to 90 degrees two-theta, by intensity:
- 3.826 Å, 23.25 deg, rel. 100, (0 4 1)
- 3.783 Å, 23.52 deg, rel. 47, (2 2 1)
- 2.677 Å, 33.48 deg, rel. 45, (2 6 0)
- 2.195 Å, 41.13 deg, rel. 42, (4 4 -1)
- 3.359 Å, 26.54 deg, rel. 38, (0 0 2)
- 4.628 Å, 19.18 deg, rel. 36, (2 2 0)
- 3.117 Å, 28.63 deg, rel. 33, (2 4 -1)
- 5.343 Å, 16.59 deg, rel. 32, (2 0 0)
- 2.103 Å, 43.01 deg, rel. 27, (4 0 -2)
- 2.176 Å, 41.50 deg, rel. 26, (4 4 1)

```
data_Na2CaPb3C5O15
_cell_length_a 10.6601
_cell_length_b 18.5712
_cell_length_c 6.7190
_cell_angle_alpha 90.00
_cell_angle_beta 90.95
_cell_angle_gamma 90.00
_space_group_name_H-M_alt 'C 1 c 1'
_space_group_IT_number 9
_space_group_name_Hall 'C -2yc'
loop_
_atom_site_label
_atom_site_type_symbol
_atom_site_fract_x
_atom_site_fract_y
_atom_site_fract_z
Na1 Na 0.0000 0.0234 0.0000
Na2 Na 0.2869 0.2625 0.4989
Ca1 Ca 0.2160 0.2386 0.9930
Pb1 Pb 0.0039 0.3451 0.3164
Pb2 Pb 0.2428 0.4252 0.8148
Pb3 Pb 0.2608 0.0763 0.3242
C1 C 0.0000 0.1679 0.3154
C2 C 0.9999 0.2947 0.7679
C3 C 0.0001 0.5003 0.4716
C4 C 0.1941 0.1029 0.7698
C5 C 0.3069 0.3968 0.2679
O1 O 0.0001 0.0981 0.3195
O2 O 0.0001 0.4298 0.9711
O3 O 0.0005 0.2711 0.9477
O4 O 0.1059 0.2032 0.3040
O5 O 0.1064 0.3058 0.6793
O6 O 0.1057 0.4650 0.4666
O7 O 0.1570 0.1148 0.9478
O8 O 0.1632 0.0440 0.6754
O9 O 0.2364 0.3490 0.1722
O10 O 0.2634 0.1514 0.6816
O11 O 0.3380 0.4557 0.1723
O12 O 0.3424 0.3858 0.4464
O13 O 0.3941 0.1929 0.1731
O14 O 0.3944 0.2967 0.8235
O15 O 0.3946 0.0350 0.9678
```

Record 5
Diffraction record for CaC2O5. The powder diffraction line list is theoretical, not measured: it uses the PBE geometry in the Materials Project and Cu Kα, 1.54184 Å.
Neutral-atom scattering factors, no anomalous dispersion.

Top 10 peaks for 10 to 90 degrees two-theta, by intensity:
- 5.987 Å, 14.80 deg, rel. 100, (0 0 1)
- 3.696 Å, 24.08 deg, rel. 93, (0 2 0)
- 2.993 Å, 29.85 deg, rel. 59, (0 0 2)
- 2.386 Å, 37.71 deg, rel. 34, (1 3 0)
- 2.378 Å, 37.83 deg, rel. 30, (3 1 1)
- 5.844 Å, 15.16 deg, rel. 29, (1 1 0)
- 2.461 Å, 36.51 deg, rel. 28, (3 1 -2)
- 1.848 Å, 49.31 deg, rel. 23, (0 4 0)
- 2.066 Å, 43.82 deg, rel. 21, (4 2 -1)
- 2.922 Å, 30.59 deg, rel. 18, (3 1 0)

```
data_CaC2O5
_cell_length_a 10.0151
_cell_length_b 7.3918
_cell_length_c 6.2819
_cell_angle_alpha 90.00
_cell_angle_beta 107.64
_cell_angle_gamma 90.00
_space_group_name_H-M_alt 'C 1 2/m 1'
_space_group_IT_number 12
_space_group_name_Hall '-C 2y'
loop_
_atom_site_label
_atom_site_type_symbol
_atom_site_fract_x
_atom_site_fract_y
_atom_site_fract_z
Ca1 Ca 0.1900 0.0000 0.0116
C1 C 0.0000 0.3940 0.0000
C2 C 0.0678 0.0000 0.4607
O1 O 0.0476 0.0000 0.2528
O2 O 0.1115 0.3166 0.9933
O3 O 0.1433 0.5000 0.5814
O4 O 0.1830 0.0000 0.6140
```